No. 1
Simulated powder diffraction line list
Compound: Nb6V3Ni3C2
Radiation: λ = 1.5418 Å (Cu Kα)
Structure: the GGA-PBE geometry in Alexandria
Lines closer than 0.1° are merged.

Crystal structure
Lattice parameters (Å, degrees): 8.1969 8.1969 8.1969 120.15 119.97 89.90
Atoms (fractional coordinates):
Nb (0.0000, 0.0000, 0.0000)
Nb (0.2453, 0.1243, 0.5009)
Nb (0.2453, 0.7444, 0.1210)
Nb (0.2493, 0.7493, 0.5000)
Nb (0.3741, 0.3751, 0.3807)
Nb (0.3741, 0.9933, 0.9989)
Nb (0.3787, 0.3787, 0.0000)
Nb (0.6233, 0.1243, 0.8790)
Nb (0.6233, 0.7444, 0.4991)
Nb (0.6305, 0.1305, 0.5000)
Nb (0.9944, 0.3751, 0.0011)
Nb (0.9944, 0.9933, 0.6193)
V (0.0167, 0.3544, 0.6623)
V (0.3135, 0.5658, 0.7477)
V (0.6921, 0.3544, 0.3377)
V (0.8122, 0.0538, 0.2416)
V (0.8122, 0.5706, 0.7584)
V (0.8181, 0.5658, 0.2523)
Ni (0.0136, 0.3593, 0.3457)
Ni (0.0136, 0.6679, 0.6543)
Ni (0.6063, 0.4483, 0.8420)
Ni (0.6063, 0.7643, 0.1580)
Ni (0.6071, 0.7616, 0.8455)
Ni (0.9160, 0.7616, 0.1545)
C (0.3090, 0.0606, 0.7516)
C (0.3090, 0.5574, 0.2484)
C (0.3101, 0.0605, 0.2496)
C (0.8109, 0.0605, 0.7504)

Principal peaks in the range 15 to 90 degrees two-theta, sorted by position:
2theta, d (Å), Rel. int.
30.86, 2.897, 7
33.71, 2.659, 17
38.04, 2.365, 44
40.45, 2.230, 100
44.19, 2.049, 18
47.03, 1.932, 7
56.70, 1.623, 7
68.69, 1.366, 30
68.84, 1.364, 10
82.82, 1.165, 10

---

No. 2
Simulated powder diffraction line list
Compound: Cd2Pb7
Radiation: λ = 1.5418 Å (Cu Kα)
Structure: the GGA-PBE geometry in Alexandria
Lines closer than 0.1° are merged.

Crystal structure
Lattice parameters (Å, degrees): 5.9755 5.9755 8.7561 90.00 90.00 120.00
Atoms (fractional coordinates):
Cd (0.3333, 0.6667, 0.0000)
Cd (0.6667, 0.3333, 0.0000)
Pb (0.0000, 0.0000, 0.0000)
Pb (0.0000, 0.3336, 0.6772)
Pb (0.0000, 0.6664, 0.3228)
Pb (0.3336, 0.0000, 0.6772)
Pb (0.3336, 0.3336, 0.3228)
Pb (0.6664, 0.0000, 0.3228)
Pb (0.6664, 0.6664, 0.6772)

Principal peaks in the range 15 to 90 degrees two-theta, sorted by position:
2theta, d (Å), Rel. int.
30.63, 2.919, 35
31.64, 2.828, 100
36.41, 2.468, 67
51.77, 1.766, 26
53.09, 1.725, 23
61.36, 1.511, 14
62.55, 1.485, 28
63.14, 1.473, 14
66.09, 1.414, 12
87.00, 1.120, 13

---

No. 3
Simulated powder diffraction line list
Compound: Mn3Ni2
Radiation: λ = 1.5418 Å (Cu Kα)
Structure: the GGA-PBE geometry in Alexandria
Lines closer than 0.1° are merged.

Crystal structure
Lattice parameters (Å, degrees): 2.4711 2.4711 30.6682 90.00 90.00 120.00
Atoms (fractional coordinates):
Mn (0.0000, 0.0000, 0.0000)
Mn (0.0000, 0.0000, 0.1980)
Mn (0.0000, 0.0000, 0.8020)
Mn (0.3333, 0.6667, 0.4686)
Mn (0.3333, 0.6667, 0.6667)
Mn (0.3333, 0.6667, 0.8647)
Mn (0.6667, 0.3333, 0.1353)
Mn (0.6667, 0.3333, 0.3333)
Mn (0.6667, 0.3333, 0.5314)
Ni (0.0000, 0.0000, 0.4002)
Ni (0.0000, 0.0000, 0.5998)
Ni (0.3333, 0.6667, 0.0668)
Ni (0.3333, 0.6667, 0.2665)
Ni (0.6667, 0.3333, 0.7335)
Ni (0.6667, 0.3333, 0.9332)

Principal peaks in the range 15 to 90 degrees two-theta, sorted by position:
2theta, d (Å), Rel. int.
26.15, 3.408, 1
43.93, 2.061, 1
44.30, 2.045, 34
44.86, 2.021, 100
52.11, 1.755, 62
60.48, 1.531, 1
76.41, 1.246, 18
77.21, 1.236, 17

---

No. 4
Simulated powder diffraction line list
Compound: Pr2Sm6Y3
Radiation: λ = 1.5418 Å (Cu Kα)
Structure: the GGA-PBE geometry in Alexandria
Lines closer than 0.1° are merged.

Crystal structure
Lattice parameters (Å, degrees): 6.2351 6.2351 11.8497 95.09 95.09 120.06
Atoms (fractional coordinates):
Pr (0.1667, 0.8333, 0.0000)
Pr (0.8333, 0.1667, 0.0000)
Sm (0.0832, 0.4161, 0.7479)
Sm (0.2508, 0.2508, 0.2520)
Sm (0.4161, 0.0832, 0.7479)
Sm (0.5839, 0.9168, 0.2521)
Sm (0.7492, 0.7492, 0.7480)
Sm (0.9168, 0.5839, 0.2521)
Y (0.0000, 0.0000, 0.5000)
Y (0.3347, 0.6653, 0.5000)
Y (0.6653, 0.3347, 0.5000)

Principal peaks in the range 15 to 90 degrees two-theta, sorted by position:
2theta, d (Å), Rel. int.
30.45, 2.936, 100
30.67, 2.915, 32
35.37, 2.538, 67
50.74, 1.799, 24
51.02, 1.790, 23
60.30, 1.535, 9
60.42, 1.532, 23
60.54, 1.529, 9
60.68, 1.526, 9
63.36, 1.468, 12

---

No. 5
Simulated powder diffraction line list
Compound: SrLa2Pa3N8
Radiation: λ = 1.5418 Å (Cu Kα)
Structure: the GGA-PBE geometry in Alexandria
Lines closer than 0.1° are merged.

Crystal structure
Lattice parameters (Å, degrees): 7.1867 7.1867 7.1867 59.66 59.66 59.66
Atoms (fractional coordinates):
Sr (0.0000, 0.0000, 0.0000)
La (0.3785, 0.3785, 0.3785)
La (0.7594, 0.7594, 0.7594)
Pa (0.3781, 0.3781, 0.8821)
Pa (0.3781, 0.8821, 0.3781)
Pa (0.8821, 0.3781, 0.3781)
N (0.1374, 0.1374, 0.5631)
N (0.1374, 0.5631, 0.1374)
N (0.1508, 0.1508, 0.1508)
N (0.1785, 0.6267, 0.6267)
N (0.5631, 0.1374, 0.1374)
N (0.6118, 0.6118, 0.6118)
N (0.6267, 0.1785, 0.6267)
N (0.6267, 0.6266, 0.1785)

Principal peaks in the range 15 to 90 degrees two-theta, sorted by position:
2theta, d (Å), Rel. int.
15.06, 5.883, 30
15.16, 5.843, 22
24.78, 3.593, 16
29.12, 3.066, 29
29.26, 3.052, 100
30.60, 2.921, 47
35.42, 2.534, 29
46.59, 1.949, 33
50.82, 1.797, 27
51.10, 1.788, 27

---

No. 6
Simulated powder diffraction line list
Compound: Li6SbAu2
Radiation: λ = 1.5418 Å (Cu Kα)
Structure: the GGA-PBE geometry in Alexandria
Lines closer than 0.1° are merged.

Crystal structure
Lattice parameters (Å, degrees): 5.2833 5.2833 5.2727 93.80 93.80 93.83
Atoms (fractional coordinates):
Li (0.1703, 0.4999, 0.3298)
Li (0.1701, 0.8299, 0.0000)
Li (0.4999, 0.1703, 0.3298)
Li (0.5001, 0.8297, 0.6702)
Li (0.8299, 0.1701, 0.0000)
Li (0.8297, 0.5001, 0.6702)
Sb (0.0000, 0.0000, 0.5000)
Au (0.3375, 0.3375, 0.8363)
Au (0.6625, 0.6625, 0.1637)

Principal peaks in the range 15 to 90 degrees two-theta, sorted by position:
2theta, d (Å), Rel. int.
23.07, 3.855, 100
31.52, 2.839, 14
39.42, 2.286, 57
40.53, 2.226, 28
47.15, 1.928, 15
52.21, 1.752, 18
57.82, 1.595, 19
63.86, 1.458, 8
70.73, 1.332, 9
72.96, 1.297, 16